Calculated PXRD pattern
Compound: NaEuAsS4
Radiation: λ = 1.5418 Å (Cu Kα)
Structure: the GGA-PBE geometry in the Materials Project

Most intense lines, 10° ≤ 2θ ≤ 90°, low angle first:
d/Å  intensity  index
5.654  868  0 1 1
4.924  442  1 1 1
3.749  925  2 1 1
3.543  407  2 2 0
3.004  648  0 3 1
2.505  474  4 0 0
2.462  1000  2 2 2
2.033  328  2 1 3

Cell: 10.0148 10.0296 6.8457 Å, 90.00 90.00 90.00°
Space group Ama2 (No. 40)
Asymmetric unit:
Na1 0.2500 0.1854 0.0000
Eu1 0.0000 0.0000 0.4458
As1 0.2500 0.2850 0.4725
S1 0.0677 0.2848 0.2909
S2 0.2500 0.0888 0.6239
S3 0.2500 0.4367 0.7119

---

Calculated PXRD pattern
Compound: Li3Ti2P3O12
Radiation: λ = 1.5418 Å (Cu Kα)
Structure: the GGA-PBE geometry in the Materials Project

Most intense lines, 10° ≤ 2θ ≤ 90°, low angle first:
d/Å  intensity  index
6.197  146  2 0 0
4.468  142  0 2 0
4.300  374  3 1 -1
3.749  1000  2 2 -1
3.098  196  4 0 0
2.896  175  2 2 1
2.729  299  5 1 -1
2.579  191  2 0 2

Cell: 14.7368 8.9422 8.5948 Å, 90.00 122.68 90.00°
Space group C2 (No. 5)
Asymmetric unit:
Li1 0.0000 0.0000 0.0000
Li2 0.0000 0.3119 0.5000
Li3 0.2050 0.6978 0.9112
Li4 0.2495 0.8986 0.2771
Ti1 0.1015 0.4032 0.8967
Ti2 0.1081 0.8994 0.3959
P1 0.0000 0.6091 0.5000
P2 0.0000 0.7035 0.0000
P3 0.1451 0.0487 0.7962
P4 0.1510 0.2511 0.3019
O1 0.0411 0.3039 0.2679
O2 0.0406 0.9951 0.7786
O3 0.0618 0.7071 0.4417
O4 0.0625 0.6074 0.9395
O5 0.0843 0.5021 0.6573
O6 0.0848 0.8102 0.1537
O7 0.1474 0.0025 0.6270
O8 0.1580 0.0774 0.3025
O9 0.1608 0.2229 0.8153
O10 0.1629 0.3005 0.1406
O11 0.2386 0.3194 0.4892
O12 0.2395 0.9831 0.9844

---

Calculated PXRD pattern
Compound: Mg14TiMn
Radiation: λ = 1.5418 Å (Cu Kα)
Structure: the GGA-PBE geometry in the Materials Project

Most intense lines, 10° ≤ 2θ ≤ 90°, low angle first:
d/Å  intensity  index
2.736  252  2 0 0
2.514  253  0 0 4
2.403  1000  2 0 2
1.851  151  2 0 4
1.580  168  2 2 0
1.429  177  2 0 6
1.337  184  2 2 4
1.320  132  4 0 2

Cell: 6.3186 6.3186 10.0547 Å, 90.00 90.00 120.00°
Space group P-6m2 (No. 187)
Asymmetric unit:
Mg1 0.0000 0.0000 0.2485
Mg2 0.0096 0.5048 0.2513
Mg3 0.3338 0.1669 0.5000
Mg4 0.3371 0.1685 0.0000
Ti1 0.3333 0.6667 0.0000
Mn1 0.3333 0.6667 0.5000

---

Calculated PXRD pattern
Compound: Cu12Sb4S13
Radiation: λ = 1.5418 Å (Cu Kα)
Structure: the GGA-PBE geometry in the Materials Project

Most intense lines, 10° ≤ 2θ ≤ 90°, low angle first:
d/Å  intensity  index
2.988  1000  2 2 2
2.766  95  3 2 1
2.588  232  4 0 0
2.440  104  4 1 1
2.030  96  5 1 0
1.830  488  4 4 0
1.560  284  6 2 2
1.187  88  6 6 2

Cell: 10.3508 10.3508 10.3508 Å, 90.00 90.00 90.00°
Space group I-43m (No. 217)
Asymmetric unit:
Cu1 0.0000 0.0000 0.2208
Cu2 0.0000 0.2500 0.5000
Sb1 0.2292 0.2292 0.7708
S1 0.0000 0.0000 0.0000
S2 0.1157 0.1157 0.3651

---

> Which formula does entry 2 have?

Li3Ti2P3O12